Starting from a cell relaxed with PBE, the powder X-ray diffraction pattern of Na5Si34 was simulated for Cu Kα (λ = 1.5418 Å).
Lines closer than 0.1° are merged.

Structure:
Unit cell a=10.4549 b=10.4549 c=25.6265 alpha=90.00 beta=90.00 gamma=120.00
Space group R-3m (No. 166, hexagonal axes)
Unique sites:
Na1 0.0000 0.0000 0.1250
Na2 0.0000 0.5000 0.0000
Si1 0.0000 0.0000 0.2820
Si2 0.0000 0.0000 0.3755
Si3 0.0055 0.3881 0.1238
Si4 0.0713 0.5356 0.6648
Si5 0.0815 0.5408 0.4124
Si6 0.0848 0.5424 0.2602

The 8 most intense peaks (2θ from 10° to 80°), in order of falling intensity:
| index | Position (°2θ) | I_rel |
| --- | --- | --- |
| 3 0 12 | 52.5 | 100 |
| 0 2 7 | 31.4 | 85 |
| 2 2 3 | 35.9 | 65 |
| 2 2 0 | 34.3 | 43 |
| 3 2 7 | 50.5 | 31 |
| 2 1 4 | 29.6 | 30 |
| 0 0 15 | 53.7 | 27 |
| 5 2 12 | 80.0 | 22 |

---

Starting from a cell relaxed with PBE, the powder X-ray diffraction pattern of NaYSi was simulated for Cu Kα (λ = 1.5418 Å).
Lines closer than 0.1° are merged.

Structure:
Unit cell a=6.870 b=6.870 c=6.870 alpha=90.00 beta=90.00 gamma=90.00
Space group F-43m (No. 216)
Unique sites:
Na1 0.000 0.000 0.000
Y1 0.250 0.250 0.250
Si1 0.000 0.000 0.500

The 8 most intense peaks (2θ from 10° to 80°), in order of falling intensity:
| index | Position (°2θ) | I_rel |
| --- | --- | --- |
| 1 1 1 | 22.4 | 100 |
| 2 2 0 | 37.0 | 99 |
| 3 1 1 | 43.7 | 49 |
| 4 2 2 | 66.7 | 33 |
| 3 3 1 | 58.6 | 20 |
| 4 0 0 | 53.3 | 17 |
| 5 1 1 | 71.3 | 15 |
| 4 4 0 | 78.8 | 10 |

---

Starting from a cell relaxed with PBE, the powder X-ray diffraction pattern of NaSmTe2 was simulated for Cu Kα (λ = 1.5418 Å).
Lines closer than 0.1° are merged.

Structure:
Unit cell a=4.5132 b=4.5132 c=22.6847 alpha=90.00 beta=90.00 gamma=120.00
Space group R-3m (No. 166, hexagonal axes)
Unique sites:
Na1 0.0000 0.0000 0.0000
Sm1 0.0000 0.0000 0.5000
Te1 0.0000 0.0000 0.2452

The 8 most intense peaks (2θ from 10° to 80°), in order of falling intensity:
| index | Position (°2θ) | I_rel |
| --- | --- | --- |
| 1 0 4 | 27.7 | 100 |
| 0 1 8 | 39.3 | 38 |
| 1 1 0 | 40.0 | 38 |
| 0 0 3 | 11.7 | 30 |
| 0 2 4 | 49.3 | 20 |
| 2 1 4 | 65.3 | 17 |
| 1 1 12 | 64.3 | 17 |
| 2 0 8 | 57.3 | 13 |

---

Starting from a cell relaxed with PBE, the powder X-ray diffraction pattern of Na3Sn was simulated for Cu Kα (λ = 1.5418 Å).
Lines closer than 0.1° are merged.

Structure:
Unit cell a=4.898 b=4.898 c=9.526 alpha=90.00 beta=90.00 gamma=90.00
Space group I4/mmm (No. 139)
Unique sites:
Na1 0.000 0.000 0.000
Na2 0.000 0.500 0.250
Sn1 0.000 0.000 0.500

The 8 most intense peaks (2θ from 10° to 80°), in order of falling intensity:
| index | Position (°2θ) | I_rel |
| --- | --- | --- |
| 1 1 2 | 31.9 | 100 |
| 1 0 1 | 20.4 | 73 |
| 2 0 0 | 36.7 | 34 |
| 3 1 2 | 63.1 | 27 |
| 2 1 1 | 42.3 | 23 |
| 2 0 4 | 53.7 | 23 |
| 0 0 2 | 18.6 | 22 |
| 1 0 3 | 33.6 | 21 |